# AlH3O3
Simulated PXRD pattern, Cu Kα. Input: a PBE-relaxed structure.
Peak positions follow from Bragg's law for the DFT cell and can differ from measured ones.

Largest 10 diffraction maxima, by intensity, 2θ = 15–90°:
3.616 Å, 24.6°, rel. 100
2.183 Å, 41.4°, rel. 32
1.621 Å, 56.8°, rel. 31
2.276 Å, 39.6°, rel. 17
1.470 Å, 63.3°, rel. 17
1.481 Å, 62.7°, rel. 14
2.172 Å, 41.6°, rel. 14
1.805 Å, 50.6°, rel. 14
1.616 Å, 57.0°, rel. 13
2.421 Å, 37.1°, rel. 9

```
AlH3O3
1.0
5.0780 0.0000 0.0000
0.0000 5.1357 0.0000
0.0000 0.0000 7.2506
Al H O
4 12 12
Cartesian
1.2585 0.0002 7.2481 Al
1.2805 5.1355 3.6228 Al
3.7975 2.5677 0.0025 Al
3.8195 2.5680 3.6277 Al
0.1505 1.0525 1.8342 H
0.4158 1.7094 5.7652 H
1.0975 2.3675 3.7753 H
1.4415 2.7682 0.1500 H
2.1232 3.4263 2.1399 H
2.3885 4.0832 5.4595 H
2.6895 1.5154 5.4163 H
2.9549 0.8585 1.4854 H
3.6365 0.2003 3.4752 H
3.9805 4.9353 7.1005 H
4.6622 4.2772 5.1107 H
4.9275 3.6203 1.7910 H
0.3753 1.6432 6.7649 O
0.4449 1.6622 4.0633 O
0.6564 0.1950 1.8137 O
1.8826 4.9407 5.4389 O
2.0941 3.4734 0.4380 O
2.1637 3.4925 3.1396 O
2.9144 0.9247 0.4857 O
2.9839 0.9056 3.1873 O
3.1954 2.3729 5.4369 O
4.4216 2.7628 1.8116 O
4.6331 4.2301 6.8126 O
4.7027 4.2110 4.1109 O
```

=====

# AlH3O3
Simulated PXRD pattern, Cu Kα. Input: a PBE-relaxed structure.
Peak positions follow from Bragg's law for the DFT cell and can differ from measured ones.

Largest 10 diffraction maxima, by intensity, 2θ = 15–90°:
4.841 Å, 18.3°, rel. 100
2.329 Å, 38.7°, rel. 35
2.031 Å, 44.6°, rel. 34
1.897 Å, 48.0°, rel. 26
2.375 Å, 37.9°, rel. 20
1.819 Å, 50.2°, rel. 19
4.354 Å, 20.4°, rel. 19
2.482 Å, 36.2°, rel. 18
4.021 Å, 22.1°, rel. 16
4.074 Å, 21.8°, rel. 15

```
AlH3O3
1.0
5.0396 0.0000 0.0000
-2.4699 4.4552 0.0000
-0.8287 -2.1444 4.8415
Al H O
2 6 6
Cartesian
0.0377 1.4834 0.0104 Al
1.7034 0.8275 4.8310 Al
-1.4465 1.9384 1.9697 H
0.6757 -0.2849 2.8366 H
1.7063 -0.0501 0.9790 H
0.0347 2.3609 3.8625 H
1.0653 2.5958 2.0048 H
3.1875 0.3725 2.8718 H
-1.7340 0.6547 3.7961 O
0.7271 -0.0207 1.0175 O
0.7831 -0.4942 3.7979 O
0.9579 2.8050 1.0436 O
1.0139 2.3316 3.8239 O
3.4750 1.6561 1.0454 O
```

=====

# AlH3O3
Simulated PXRD pattern, Cu Kα. Input: a PBE-relaxed structure.
Peak positions follow from Bragg's law for the DFT cell and can differ from measured ones.

Largest 10 diffraction maxima, by intensity, 2θ = 15–90°:
4.988 Å, 17.8°, rel. 100
4.454 Å, 19.9°, rel. 31
2.219 Å, 40.7°, rel. 29
2.229 Å, 40.5°, rel. 28
2.362 Å, 38.1°, rel. 25
1.854 Å, 49.1°, rel. 18
4.322 Å, 20.6°, rel. 16
1.754 Å, 52.2°, rel. 12
1.742 Å, 52.5°, rel. 11
1.440 Å, 64.7°, rel. 10

```
AlH3O3
1.0
4.9965 0.0000 0.0000
-0.1144 5.0379 0.0000
-0.1900 -2.3676 4.4580
Al H O
2 6 6
Cartesian
0.0000 0.0000 0.0000 Al
-0.1360 2.5231 1.5095 Al
1.0934 -0.2842 2.1524 H
0.9874 -0.0775 4.0458 H
1.7490 2.1794 3.0699 H
2.9495 1.0700 0.9943 H
3.5824 -0.9582 2.6357 H
3.5364 0.6472 3.7279 H
0.8398 4.1727 1.3856 O
0.8215 1.8687 3.0501 O
1.0300 1.6089 0.2708 O
3.7055 3.1759 2.8972 O
3.8599 0.9033 1.3031 O
3.9088 3.4297 0.1255 O
```

=====

# AlH3O3
Simulated PXRD pattern, Cu Kα. Input: a PBE-relaxed structure.
Peak positions follow from Bragg's law for the DFT cell and can differ from measured ones.

Largest 10 diffraction maxima, by intensity, 2θ = 15–90°:
4.776 Å, 18.6°, rel. 100
2.299 Å, 39.2°, rel. 36
2.088 Å, 43.3°, rel. 34
2.413 Å, 37.3°, rel. 30
4.428 Å, 20.1°, rel. 28
1.896 Å, 48.0°, rel. 26
4.273 Å, 20.8°, rel. 25
1.792 Å, 50.9°, rel. 20
4.204 Å, 21.1°, rel. 20
4.024 Å, 22.1°, rel. 16

```
AlH3O3
1.0
5.1809 0.0000 0.0000
0.8837 6.0641 0.0000
0.5303 0.5413 7.0587
Al H O
4 12 12
Cartesian
0.3894 2.1083 1.1871 Al
3.5834 5.4173 4.7040 Al
3.0115 1.1881 2.3547 Al
6.2055 4.4970 5.8716 Al
1.8424 5.8979 2.0545 H
1.4357 1.5974 4.2106 H
1.9631 3.8619 3.4910 H
2.7151 6.0578 7.0511 H
2.1280 2.1175 6.0109 H
2.4881 3.3907 1.3683 H
4.1068 3.2146 5.6905 H
4.4669 4.4879 1.0478 H
3.8799 0.5476 0.0077 H
4.6319 2.7435 3.5677 H
5.1592 5.0079 2.8481 H
4.7525 0.7075 5.0043 H
1.5836 2.7766 6.4696 O
1.9520 4.5518 4.2002 O
1.4080 0.4856 1.4922 O
2.6066 5.4418 6.2910 O
2.0177 2.8311 2.0120 O
2.2921 1.1496 4.1237 O
4.3028 5.4557 2.9350 O
4.5773 3.7742 5.0467 O
3.9883 1.1636 0.7677 O
5.1869 6.1198 5.5665 O
4.6429 2.0536 2.8585 O
5.0114 3.8287 0.5891 O
```

=====

# AlH3O3
Simulated PXRD pattern, Cu Kα. Input: a PBE-relaxed structure.
Peak positions follow from Bragg's law for the DFT cell and can differ from measured ones.

Largest 10 diffraction maxima, by intensity, 2θ = 15–90°:
4.814 Å, 18.4°, rel. 100
1.973 Å, 46.0°, rel. 30
2.414 Å, 37.2°, rel. 29
2.336 Å, 38.5°, rel. 24
1.869 Å, 48.7°, rel. 24
1.893 Å, 48.1°, rel. 24
4.325 Å, 20.5°, rel. 18
2.461 Å, 36.5°, rel. 16
4.172 Å, 21.3°, rel. 15
4.261 Å, 20.8°, rel. 15

```
AlH3O3
1.0
4.9596 0.0000 0.0000
-2.4170 4.5454 0.0000
-0.7880 -1.7874 4.8144
Al H O
2 6 6
Cartesian
0.0000 0.0000 0.0000 Al
-0.7399 1.1366 4.8029 Al
-1.4288 2.8404 2.9515 H
0.6697 1.4824 2.0061 H
1.4370 0.5751 3.7153 H
2.7132 0.4866 1.0302 H
3.5047 -0.3437 2.8412 H
2.7824 2.4479 1.1360 H
-1.5404 3.1873 1.0904 O
-1.6302 2.4846 3.8425 O
0.7535 1.4690 1.0160 O
0.8477 1.3556 3.7652 O
3.3632 -0.2442 1.0755 O
3.5041 -0.3325 3.8348 O
```

=====

# AlH3O3
Simulated PXRD pattern, Cu Kα. Input: a PBE-relaxed structure.
Peak positions follow from Bragg's law for the DFT cell and can differ from measured ones.

Largest 10 diffraction maxima, by intensity, 2θ = 15–90°:
4.761 Å, 18.6°, rel. 100
2.178 Å, 41.5°, rel. 75
4.405 Å, 20.2°, rel. 39
2.362 Å, 38.1°, rel. 26
4.338 Å, 20.5°, rel. 23
1.685 Å, 54.4°, rel. 21
1.845 Å, 49.4°, rel. 20
3.396 Å, 26.2°, rel. 17
1.376 Å, 68.1°, rel. 15
2.278 Å, 39.6°, rel. 12

```
AlH3O3
1.0
4.7895 0.0000 0.0000
0.0000 8.6766 0.0000
-0.5599 0.0000 5.1130
Al H O
4 12 12
Cartesian
-0.0118 1.4502 0.1875 Al
-0.2917 2.8882 2.7440 Al
4.5213 5.7885 2.3690 Al
4.2414 7.2265 4.9255 Al
0.6074 4.6416 4.3111 H
0.8873 8.3734 1.7546 H
1.0911 0.8667 3.6409 H
1.3710 3.4716 1.0844 H
1.8611 6.0709 1.0164 H
1.5811 6.9441 3.5729 H
2.6485 1.7326 1.5401 H
2.3685 2.6057 4.0966 H
2.8586 5.2050 4.0287 H
3.1385 7.8100 1.4721 H
3.3423 0.3033 3.3585 H
3.6222 4.0350 0.8020 H
0.9203 5.8292 0.8275 O
0.6404 7.1858 3.3840 O
0.6455 4.4239 3.3611 O
0.9254 8.5911 0.8046 O
0.6899 1.7227 3.8883 O
0.9698 2.6156 1.3318 O
3.2598 6.0610 3.7812 O
3.5397 6.9540 1.2247 O
3.3042 0.0856 4.3084 O
3.5841 4.2527 1.7519 O
3.5892 1.4909 1.7290 O
3.3093 2.8474 4.2855 O
```

=====

What did the third record say?
# AlH3O3
Simulated PXRD pattern, Cu Kα. Input: a PBE-relaxed structure.
Peak positions follow from Bragg's law for the DFT cell and can differ from measured ones.

Largest 10 diffraction maxima, by intensity, 2θ = 15–90°:
4.988 Å, 17.8°, rel. 100
4.454 Å, 19.9°, rel. 31
2.219 Å, 40.7°, rel. 29
2.229 Å, 40.5°, rel. 28
2.362 Å, 38.1°, rel. 25
1.854 Å, 49.1°, rel. 18
4.322 Å, 20.6°, rel. 16
1.754 Å, 52.2°, rel. 12
1.742 Å, 52.5°, rel. 11
1.440 Å, 64.7°, rel. 10

```
AlH3O3
1.0
4.9965 0.0000 0.0000
-0.1144 5.0379 0.0000
-0.1900 -2.3676 4.4580
Al H O
2 6 6
Cartesian
0.0000 0.0000 0.0000 Al
-0.1360 2.5231 1.5095 Al
1.0934 -0.2842 2.1524 H
0.9874 -0.0775 4.0458 H
1.7490 2.1794 3.0699 H
2.9495 1.0700 0.9943 H
3.5824 -0.9582 2.6357 H
3.5364 0.6472 3.7279 H
0.8398 4.1727 1.3856 O
0.8215 1.8687 3.0501 O
1.0300 1.6089 0.2708 O
3.7055 3.1759 2.8972 O
3.8599 0.9033 1.3031 O
3.9088 3.4297 0.1255 O
```